Simulated PXRD pattern
Compound: LaNi4Mo
Radiation: Cu Kα X-rays
Structure: the PBE geometry in Alexandria
No peak broadening, texture or thermal motion is included.

Cell and atoms:
a b c (Å): 7.074 7.074 7.074
angles (deg): 90.00 90.00 90.00
Space group F-43m (No. 216)
Unique sites:
La1 0.000 0.000 0.000
Ni1 0.123 0.123 0.377
Mo1 0.250 0.250 0.750

Main lines, sorted by position (15 to 90 degrees two-theta):
2theta, intensity, index
21.76, 4, 1 1 1
25.18, 2, 2 0 0
35.91, 50, 2 2 0
42.38, 100, 3 1 1
44.36, 23, 2 2 2
56.72, 1, 3 3 1
64.54, 18, 4 2 2
68.98, 30, 5 1 1
76.12, 23, 4 4 0
87.14, 8, 6 2 0